LiAgC2O4: simulated powder diffraction line list (CuKα), based on a crystal structure in the Materials Project, relaxed with PBE.
Lines closer than 0.1° are merged.

```
data_LiAgC2O4
_chemical_formula_sum 'Li2 Ag2 C4 O8'
_space_group_name_H-M_alt 'P 1 21 1'
_space_group_IT_number 4
_cell_length_a 3.9609
_cell_length_b 4.8980
_cell_length_c 10.3608
_cell_angle_alpha 90.00
_cell_angle_beta 92.48
_cell_angle_gamma 90.00
loop_
_space_group_symop_operation_xyz
'x,y,z'
'-x,y+1/2,-z'
loop_
_atom_site_label
_atom_site_type_symbol
_atom_site_fract_x
_atom_site_fract_y
_atom_site_fract_z
Li1 Li 0.1077 0.0000 0.1021
Ag1 Ag 0.3899 0.6028 0.5858
C1 C 0.0987 0.6209 0.2948
C2 C 0.1076 0.9989 0.8248
O1 O 0.0866 0.4920 0.4004
O2 O 0.1135 0.1439 0.9258
O3 O 0.2371 0.7640 0.8136
O4 O 0.2682 0.8353 0.2731
```

Most intense lines, 15 to 90 degrees two-theta, in order of rising 2θ:
d [Å], I (rel.), (hkl)
3.644, 48.0, 1 0 1
3.557, 57.2, 0 1 2
3.079, 42.4, 1 1 0
2.978, 100.0, 1 1 -1
2.821, 34.8, 0 1 3
2.686, 37.9, 1 1 -2
2.288, 28.8, 0 1 4
2.259, 22.9, 1 1 3
2.212, 22.1, 1 0 -4
2.033, 23.3, 1 2 1

MgAg2C2O6: simulated powder diffraction line list (CuKα), based on a crystal structure in the Materials Project, relaxed with PBE.
Lines closer than 0.1° are merged.

```
data_MgAg2C2O6
_chemical_formula_sum 'Mg3 Ag6 C6 O18'
_space_group_name_H-M_alt 'R 3'
_space_group_IT_number 146
_space_group_name_Hall 'R 3'
_cell_length_a 5.2488
_cell_length_b 5.2488
_cell_length_c 18.9950
_cell_angle_alpha 90.00
_cell_angle_beta 90.00
_cell_angle_gamma 120.00
loop_
_atom_site_label
_atom_site_type_symbol
_atom_site_fract_x
_atom_site_fract_y
_atom_site_fract_z
Mg1 Mg 0.0000 0.0000 0.0000
Ag1 Ag 0.0000 0.0000 0.4384
Ag2 Ag 0.0000 0.0000 0.8532
C1 C 0.0000 0.0000 0.1889
C2 C 0.0000 0.0000 0.6870
O1 O 0.0321 0.7704 0.6880
O2 O 0.0561 0.2706 0.1893
```

Most intense lines, 15 to 90 degrees two-theta, in order of rising 2θ:
d [Å], I (rel.), (hkl)
4.100, 96.6, 0 1 2
3.284, 44.6, 1 0 4
2.915, 100.0, 0 1 5
2.624, 87.4, 1 1 0
2.424, 53.9, 2 -1 3
2.330, 59.6, 1 0 7
2.210, 47.9, 2 0 2
1.950, 32.9, 2 0 5
1.691, 31.5, 3 -2 2
1.565, 29.4, 1 2 5

Ag2CN2: simulated powder diffraction line list (CuKα), based on a crystal structure in the Materials Project, relaxed with PBE.
Lines closer than 0.1° are merged.

```
data_Ag2CN2
_chemical_formula_sum 'Ag8 C4 N8'
_space_group_name_H-M_alt 'P 1 21/c 1'
_space_group_IT_number 14
_cell_length_a 7.3820
_cell_length_b 6.0321
_cell_length_c 6.8451
_cell_angle_alpha 90.00
_cell_angle_beta 101.43
_cell_angle_gamma 90.00
loop_
_space_group_symop_operation_xyz
'x,y,z'
'-x,-y,-z'
'-x,y+1/2,-z+1/2'
'x,-y+1/2,z+1/2'
loop_
_atom_site_label
_atom_site_type_symbol
_atom_site_fract_x
_atom_site_fract_y
_atom_site_fract_z
Ag1 Ag 0.0000 0.0000 0.0000
Ag2 Ag 0.0000 0.0000 0.5000
Ag3 Ag 0.3229 0.1897 0.3162
C1 C 0.2899 0.6869 0.3075
N1 N 0.1812 0.5210 0.2902
N2 N 0.3991 0.6614 0.8216
```

Most intense lines, 15 to 90 degrees two-theta, in order of rising 2θ:
d [Å], I (rel.), (hkl)
4.633, 56.3, 1 1 0
2.837, 92.8, 1 0 2
2.784, 76.7, 1 2 0
2.747, 100.0, 2 0 -2
2.412, 48.0, 3 0 0
2.317, 43.7, 2 2 0
2.243, 44.0, 0 2 2
2.227, 28.2, 1 2 -2
1.763, 22.8, 3 2 -2
1.710, 19.7, 1 0 -4

AgCN: simulated powder diffraction line list (CuKα), based on a crystal structure in the Materials Project, relaxed with PBE.
Lines closer than 0.1° are merged.

```
data_AgCN
_chemical_formula_sum 'Ag3 C3 N3'
_space_group_name_H-M_alt 'R 3 m'
_space_group_IT_number 160
_space_group_name_Hall 'R 3 -2"'
_cell_length_a 6.8783
_cell_length_b 6.8783
_cell_length_c 5.2555
_cell_angle_alpha 90.00
_cell_angle_beta 90.00
_cell_angle_gamma 120.00
loop_
_atom_site_label
_atom_site_type_symbol
_atom_site_fract_x
_atom_site_fract_y
_atom_site_fract_z
Ag1 Ag 0.0000 0.0000 0.0000
C1 C 0.0000 0.0000 0.6150
N1 N 0.0000 0.0000 0.3924
```

Most intense lines, 15 to 90 degrees two-theta, in order of rising 2θ:
d [Å], I (rel.), (hkl)
3.941, 60.5, 1 0 1
3.439, 100.0, 1 1 0
2.591, 21.2, 0 2 1
2.404, 26.4, 0 1 2
2.070, 22.4, 2 1 1
1.986, 19.3, 3 0 0
1.970, 14.1, 2 0 2
1.720, 11.7, 2 2 0
1.710, 17.5, 1 2 2
1.561, 14.1, 1 1 3

AgC4N3: simulated powder diffraction line list (CuKα), based on a crystal structure in the Materials Project, relaxed with PBE.
Lines closer than 0.1° are merged.

```
data_AgC4N3
_chemical_formula_sum 'Ag4 C16 N12'
_space_group_name_H-M_alt 'I m a 2'
_space_group_IT_number 46
_cell_length_a 8.0008
_cell_length_b 11.0650
_cell_length_c 6.2411
_cell_angle_alpha 90.00
_cell_angle_beta 90.00
_cell_angle_gamma 90.00
loop_
_space_group_symop_operation_xyz
'x,y,z'
'-x,-y,z'
'-x+1/2,y,z'
'x+1/2,-y,z'
'x+1/2,y+1/2,z+1/2'
'-x+1/2,-y+1/2,z+1/2'
'-x,y+1/2,z+1/2'
'x,-y+1/2,z+1/2'
loop_
_atom_site_label
_atom_site_type_symbol
_atom_site_fract_x
_atom_site_fract_y
_atom_site_fract_z
Ag1 Ag 0.2500 0.1281 0.0000
C1 C 0.0981 0.6486 0.2152
C2 C 0.2500 0.5477 0.9300
C3 C 0.2500 0.6173 0.1179
N1 N 0.0297 0.1745 0.7953
N2 N 0.2500 0.0117 0.2747
```

Most intense lines, 15 to 90 degrees two-theta, in order of rising 2θ:
d [Å], I (rel.), (hkl)
5.436, 25.5, 0 1 1
4.000, 23.6, 2 0 0
3.677, 100.0, 1 2 1
3.222, 16.7, 2 1 1
3.175, 26.0, 0 3 1
2.812, 19.8, 1 1 2
2.487, 13.6, 2 3 1
2.460, 17.6, 2 0 2
2.242, 20.2, 3 2 1
1.838, 13.8, 2 4 2

AgCSN: simulated powder diffraction line list (CuKα), based on a crystal structure in the Materials Project, relaxed with PBE.
Lines closer than 0.1° are merged.

```
data_AgCSN
_chemical_formula_sum 'Ag8 C8 S8 N8'
_space_group_name_H-M_alt 'C 1 2/c 1'
_space_group_IT_number 15
_cell_length_a 9.2423
_cell_length_b 8.4231
_cell_length_c 8.4966
_cell_angle_alpha 90.00
_cell_angle_beta 99.68
_cell_angle_gamma 90.00
loop_
_space_group_symop_operation_xyz
'x,y,z'
'-x,-y,-z'
'-x,y,-z+1/2'
'x,-y,z+1/2'
'x+1/2,y+1/2,z'
'-x+1/2,-y+1/2,-z'
'-x+1/2,y+1/2,-z+1/2'
'x+1/2,-y+1/2,z+1/2'
loop_
_atom_site_label
_atom_site_type_symbol
_atom_site_fract_x
_atom_site_fract_y
_atom_site_fract_z
Ag1 Ag 0.0862 0.1495 0.1063
C1 C 0.1461 0.3879 0.6119
S1 S 0.2349 0.0188 0.7998
N1 N 0.0583 0.2978 0.5472
```

Most intense lines, 15 to 90 degrees two-theta, in order of rising 2θ:
d [Å], I (rel.), (hkl)
4.724, 84.8, 1 1 1
3.763, 50.0, 0 2 1
3.379, 100.0, 2 0 -2
2.799, 77.3, 2 2 1
2.683, 24.3, 1 3 0
2.661, 27.4, 1 1 -3
2.556, 26.6, 3 1 -2
2.327, 38.6, 0 2 3
2.202, 30.2, 2 2 -3
2.017, 26.7, 4 2 -1

AgC2S2N3: simulated powder diffraction line list (CuKα), based on a crystal structure in the Materials Project, relaxed with PBE.
Lines closer than 0.1° are merged.

```
data_AgC2S2N3
_chemical_formula_sum 'Ag4 C8 S8 N12'
_space_group_name_H-M_alt 'P 1 21/c 1'
_space_group_IT_number 14
_cell_length_a 4.0394
_cell_length_b 23.9729
_cell_length_c 7.8227
_cell_angle_alpha 90.00
_cell_angle_beta 114.35
_cell_angle_gamma 90.00
loop_
_space_group_symop_operation_xyz
'x,y,z'
'-x,-y,-z'
'-x,y+1/2,-z+1/2'
'x,-y+1/2,z+1/2'
loop_
_atom_site_label
_atom_site_type_symbol
_atom_site_fract_x
_atom_site_fract_y
_atom_site_fract_z
Ag1 Ag 0.1283 0.1978 0.0375
C1 C 0.1953 0.0663 0.1873
C2 C 0.4920 0.1904 0.4947
S1 S 0.1148 0.6021 0.4833
S2 S 0.4664 0.2486 0.3728
N1 N 0.0982 0.0607 0.6658
N2 N 0.4140 0.0379 0.3029
N3 N 0.4991 0.6504 0.9167
```

Most intense lines, 15 to 90 degrees two-theta, in order of rising 2θ:
d [Å], I (rel.), (hkl)
5.319, 100.0, 0 3 1
3.958, 37.0, 1 1 -1
3.637, 37.6, 1 1 0
3.586, 60.7, 1 3 -1
3.563, 43.1, 0 0 2
3.416, 50.5, 0 2 2
3.339, 55.4, 1 0 -2
3.082, 66.1, 0 7 1
2.558, 35.1, 1 4 1
1.947, 28.2, 1 10 -2

AgCSN: simulated powder diffraction line list (CuKα), based on a crystal structure in the Materials Project, relaxed with PBE.
Lines closer than 0.1° are merged.

```
data_AgCSN
_chemical_formula_sum 'Ag4 C4 S4 N4'
_space_group_name_H-M_alt 'P n n m'
_space_group_IT_number 58
_cell_length_a 7.1724
_cell_length_b 11.4067
_cell_length_c 4.2213
_cell_angle_alpha 90.00
_cell_angle_beta 90.00
_cell_angle_gamma 90.00
loop_
_space_group_symop_operation_xyz
'x,y,z'
'-x,-y,-z'
'-x,-y,z'
'x,y,-z'
'x+1/2,-y+1/2,-z+1/2'
'-x+1/2,y+1/2,z+1/2'
'-x+1/2,y+1/2,-z+1/2'
'x+1/2,-y+1/2,z+1/2'
loop_
_atom_site_label
_atom_site_type_symbol
_atom_site_fract_x
_atom_site_fract_y
_atom_site_fract_z
Ag1 Ag 0.1802 0.1531 0.0000
C1 C 0.1602 0.3782 0.5000
S1 S 0.0414 0.2537 0.5000
N1 N 0.2466 0.4659 0.5000
```

Most intense lines, 15 to 90 degrees two-theta, in order of rising 2θ:
d [Å], I (rel.), (hkl)
5.703, 52.9, 0 2 0
4.464, 100.0, 1 2 0
3.959, 97.9, 0 1 1
3.466, 73.8, 1 1 1
3.421, 78.4, 2 1 0
2.825, 59.4, 0 3 1
2.465, 58.8, 2 2 1
2.111, 30.4, 0 0 2
2.080, 30.7, 3 0 1
1.933, 43.7, 1 5 1

- Number 5 is which compound?
  AgC4N3